# La3Tb2Dy2
Theoretical powder diffraction line list, Cu Kα. Input: a DFT-relaxed cell (GGA-PBE, Alexandria).
Neutral-atom scattering factors, no anomalous dispersion.

Structure:
```
data_La3Tb2Dy2
_chemical_formula_sum 'La6 Tb4 Dy4'
_cell_length_a 17.790
_cell_length_b 3.533
_cell_length_c 8.660
_cell_angle_alpha 90.00
_cell_angle_beta 118.57
_cell_angle_gamma 90.00
_space_group_name_H-M_alt 'C 1 2/m 1'
_space_group_IT_number 12
loop_
_space_group_symop_operation_xyz
'x,y,z'
'-x,-y,-z'
'-x,y,-z'
'x,-y,z'
'x+1/2,y+1/2,z'
'-x+1/2,-y+1/2,-z'
'-x+1/2,y+1/2,-z'
'x+1/2,-y+1/2,z'
loop_
_atom_site_label
_atom_site_type_symbol
_atom_site_fract_x
_atom_site_fract_y
_atom_site_fract_z
La1 La 0.000 0.000 0.000
La2 La 0.214 0.000 0.297
Tb1 Tb 0.064 0.500 0.410
Dy1 Dy 0.142 0.000 0.822
```

Most intense lines, 10° ≤ 2θ ≤ 90°, sorted by position:
| two_theta | d (Å) | Rel. int. |
| --- | --- | --- |
| 27.3 | 3.271 | 32 |
| 29.6 | 3.019 | 52 |
| 30.5 | 2.928 | 100 |
| 30.7 | 2.914 | 68 |
| 31.6 | 2.833 | 60 |
| 33.2 | 2.695 | 69 |
| 35.7 | 2.512 | 38 |
| 52.5 | 1.744 | 23 |
| 53.8 | 1.705 | 19 |
| 61.3 | 1.512 | 39 |